Calculated powder XRD pattern of Rb2TlWF6 for Cu Ka, from a DFT-relaxed cell (GGA+U, Alexandria).
Lines closer than 0.1° are merged.

Principal peaks in the range 10 to 80 degrees two-theta, by intensity:
two_theta  I_rel
26.5  100
46.7  42
37.8  32
18.6  27
74.6  23
54.5  21
61.6  21
42.5  12
68.2  7
58.1  6

Cell and atoms:
abc: 6.7330 6.7330 6.7330
angles: 60.00 60.00 60.00
Positions (direct):
Rb: 0.2500 0.2500 0.2500
Rb: 0.7500 0.7500 0.7500
Tl: 0.0000 0.0000 0.0000
W: 0.5000 0.5000 0.5000
F: 0.2780 0.2780 0.7220
F: 0.2780 0.7220 0.2780
F: 0.2780 0.7220 0.7220
F: 0.7220 0.2780 0.2780
F: 0.7220 0.2780 0.7220
F: 0.7220 0.7220 0.2780